For CsMg2MnCl8, a cell relaxed with PBE gives the computed powder diffraction line list in this record (Cu Kα X-rays).

Structural model:
a b c (Å): 6.336 6.483 9.196
angles (deg): 71.92 75.70 73.16
Space group P-1 (No. 2)
Symmetry-distinct sites (fractional):
Cs  0.000  0.000  0.000 x1
Mg  0.449  0.449  0.220 x2
Mn  0.000  0.000  0.500 x1
Cl  0.179  0.739  0.699 x2
Cl  0.238  0.223  0.465 x2
Cl  0.295  0.784  0.298 x2
Cl  0.319  0.356  0.029 x2

Main lines, by intensity (15 to 90 degrees two-theta):
2θ (°)	I_rel
18.38	100
23.31	87
30.47	68
30.16	59
32.18	53
28.89	40
22.10	39
29.93	33
31.15	31
47.70	28